Theoretical powder XRD pattern
Compound: CaMg6ZnO8
Radiation: Cu Kα X-rays
Structure: a structure optimized by DFT (PBE)
No peak broadening, texture or thermal motion is included.

The 8 most intense peaks (2θ from 10° to 80°), by angle:
2theta  I (rel.)  index
20.22  16  1 0 0
29.01  13  1 0 2
35.61  35  1 1 2
41.10  100  2 0 0
41.87  46  0 0 4
59.53  29  2 2 0
60.12  55  2 0 4
75.41  25  2 2 4

Atomic structure:
a b c (Å): 4.3925 4.3925 8.6304
angles (deg): 90.00 90.00 90.00
Space group P4/mmm (No. 123)
Asymmetric unit:
Ca: 0.0000 0.0000 0.0000
Mg: 0.0000 0.5000 0.2569
Mg: 0.5000 0.5000 0.0000
Mg: 0.5000 0.5000 0.5000
Zn: 0.0000 0.0000 0.5000
O: 0.0000 0.0000 0.2627
O: 0.0000 0.5000 0.0000
O: 0.0000 0.5000 0.5000
O: 0.5000 0.5000 0.2506